This entry pairs a crystal structure of CuGeO3 with its computed powder XRD pattern. Radiation: Cu Kα. Structure: a cell relaxed with GGA-PBE.
Peak positions follow from Bragg's law for the DFT cell and can differ from measured ones.

Most intense lines, 2θ from 10° to 90°, in order of rising 2θ:
d_spacing  Rel. int.  hkl
4.298  19  0 2 1
3.268  100  0 2 2
2.550  27  4 2 0
2.459  25  4 0 2
2.448  18  4 2 1
1.657  18  4 2 4

Cell and atoms:
```
data_CuGeO3
_chemical_formula_sum 'Cu16 Ge16 O48'
_cell_length_a 11.9118
_cell_length_b 9.8808
_cell_length_c 8.7145
_cell_angle_alpha 90.00
_cell_angle_beta 90.00
_cell_angle_gamma 90.00
_symmetry_space_group_name_H-M 'C m c e'
_symmetry_Int_Tables_number 64
_symmetry_space_group_name_Hall '-C 2ac 2'
loop_
_atom_site_label
_atom_site_fract_x
_atom_site_fract_y
_atom_site_fract_z
_atom_site_occupancy
Cu1 0.0000 0.0000 0.0000 1
Cu2 0.0000 0.0000 0.5000 1
Cu3 0.2478 0.0000 0.0000 1
Ge1 0.1251 0.2036 0.2495 1
O1 0.0000 0.1952 0.7516 1
O2 0.1242 0.1075 0.0783 1
O3 0.1259 0.0983 0.4131 1
O4 0.2500 0.1947 0.7500 1
```